Diffraction record for LaAlIn. The XRD peak list is theoretical, not measured: it uses a crystal structure in Alexandria, relaxed with PBE and Cu Kα (λ = 1.5418 Å).
Lines closer than 0.1° are merged.

Top 10 peaks for 2θ from 10° to 90°, by angle:
index  Position (°2θ)  intensity
1 0 0  21.28  27
1 0 1  31.35  100
1 1 0  37.31  50
0 0 2  46.46  9
0 2 1  49.50  27
1 1 2  61.04  23
2 1 1  63.59  26
3 0 0  67.28  9
3 0 2  85.70  9
1 3 1  87.96  11

Crystal structure
Cell lengths 4.8207, 4.8207, 3.9088 Å; angles 90.00, 90.00, 120.00 degrees
Atoms (fractional coordinates):
1 La 0.0000 0.0000 0.0000
2 Al 0.6667 0.3333 0.4985
3 In 0.3333 0.6667 0.5008